Diffraction record for Ta3Ge. The X-ray diffraction stick pattern is calculated, not measured: it uses a DFT-relaxed cell (GGA-PBE, the Materials Project) and copper Kα.
Neutral-atom scattering factors, no anomalous dispersion.

Crystal structure
a = 10.340 Å, b = 10.340 Å, c = 5.248 Å
α = 90.00°, β = 90.00°, γ = 90.00°
Atoms (fractional coordinates):
Ta (0.038, 0.939, 0.239)
Ta (0.061, 0.538, 0.739)
Ta (0.101, 0.266, 0.023)
Ta (0.152, 0.836, 0.723)
Ta (0.164, 0.652, 0.223)
Ta (0.234, 0.101, 0.477)
Ta (0.266, 0.399, 0.477)
Ta (0.336, 0.848, 0.223)
Ta (0.348, 0.664, 0.723)
Ta (0.399, 0.234, 0.023)
Ta (0.439, 0.962, 0.739)
Ta (0.462, 0.561, 0.239)
Ta (0.538, 0.439, 0.761)
Ta (0.561, 0.038, 0.261)
Ta (0.601, 0.766, 0.977)
Ta (0.652, 0.336, 0.277)
Ta (0.664, 0.152, 0.777)
Ta (0.734, 0.601, 0.523)
Ta (0.766, 0.899, 0.523)
Ta (0.836, 0.348, 0.777)
Ta (0.848, 0.164, 0.277)
Ta (0.899, 0.734, 0.977)
Ta (0.939, 0.462, 0.261)
Ta (0.962, 0.061, 0.761)
Ge (0.046, 0.276, 0.526)
Ge (0.224, 0.046, 0.974)
Ge (0.276, 0.454, 0.974)
Ge (0.454, 0.224, 0.526)
Ge (0.546, 0.776, 0.474)
Ge (0.724, 0.546, 0.026)
Ge (0.776, 0.954, 0.026)
Ge (0.954, 0.724, 0.474)

Principal peaks in the range 2θ from 10° to 90°, by angle:
2θ = 32.3°, I = 288, (1 3 1); 2θ = 35.7°, I = 1000, (3 2 1); 2θ = 36.4°, I = 619, (1 1 2); 2θ = 36.9°, I = 470, (3 3 0); 2θ = 39.0°, I = 385, (4 2 0); 2θ = 39.8°, I = 781, (1 4 1); 2θ = 42.4°, I = 384, (2 2 2); 2θ = 44.7°, I = 241, (1 5 0); 2θ = 65.0°, I = 212, (1 4 3); 2θ = 74.2°, I = 206, (5 5 2)


Diffraction record for Mo2Rh2C. The X-ray diffraction stick pattern is calculated, not measured: it uses a DFT-relaxed cell (GGA-PBE, the Materials Project) and copper Kα.
Neutral-atom scattering factors, no anomalous dispersion.

Crystal structure
a = 2.888 Å, b = 2.888 Å, c = 27.634 Å
α = 90.00°, β = 90.00°, γ = 120.00°
Atoms (fractional coordinates):
Mo (0.000, 0.000, 0.119)
Mo (0.000, 0.000, 0.881)
Mo (0.333, 0.667, 0.548)
Mo (0.333, 0.667, 0.786)
Mo (0.667, 0.333, 0.214)
Mo (0.667, 0.333, 0.452)
Rh (0.000, 0.000, 0.376)
Rh (0.000, 0.000, 0.624)
Rh (0.333, 0.667, 0.042)
Rh (0.333, 0.667, 0.291)
Rh (0.667, 0.333, 0.709)
Rh (0.667, 0.333, 0.958)
C (0.000, 0.000, 0.500)
C (0.333, 0.667, 0.167)
C (0.667, 0.333, 0.833)

Principal peaks in the range 2θ from 10° to 90°, by angle:
2θ = 38.3°, I = 1000, (1 0 4); 2θ = 39.1°, I = 285, (0 0 12); 2θ = 44.7°, I = 677, (0 1 8); 2θ = 49.1°, I = 25, (1 0 10); 2θ = 64.5°, I = 229, (1 1 0); 2θ = 65.7°, I = 181, (1 0 16); 2θ = 77.6°, I = 123, (0 2 4); 2θ = 78.1°, I = 221, (1 1 12); 2θ = 79.2°, I = 88, (0 1 20); 2θ = 81.9°, I = 112, (2 0 8)